# 1
Starting from a cell relaxed with GGA-PBE, the XRD peak list of LiYMg14O16 was simulated for λ = 1.5418 Å (Cu Kα).

Unit cell a=8.6312 b=8.6312 c=4.3176 alpha=90.00 beta=90.00 gamma=90.00
Sites, in units of the cell vectors:
Li: 0.0000 0.0000 0.0000
Y: 0.5000 0.5000 0.0000
Mg: 0.0000 0.2413 0.5000
Mg: 0.0000 0.5000 0.0000
Mg: 0.0000 0.7587 0.5000
Mg: 0.2351 0.5000 0.5000
Mg: 0.2380 0.2380 0.0000
Mg: 0.2380 0.7620 0.0000
Mg: 0.2413 0.0000 0.5000
Mg: 0.5000 0.0000 0.0000
Mg: 0.5000 0.2351 0.5000
Mg: 0.5000 0.7649 0.5000
Mg: 0.7587 0.0000 0.5000
Mg: 0.7620 0.2380 0.0000
Mg: 0.7620 0.7620 0.0000
Mg: 0.7649 0.5000 0.5000
O: 0.0000 0.0000 0.5000
O: 0.0000 0.2570 0.0000
O: 0.0000 0.5000 0.5000
O: 0.0000 0.7430 0.0000
O: 0.2415 0.5000 0.0000
O: 0.2516 0.2516 0.5000
O: 0.2516 0.7484 0.5000
O: 0.2570 0.0000 0.0000
O: 0.5000 0.0000 0.5000
O: 0.5000 0.2415 0.0000
O: 0.5000 0.5000 0.5000
O: 0.5000 0.7585 0.0000
O: 0.7430 0.0000 0.0000
O: 0.7484 0.2516 0.5000
O: 0.7484 0.7484 0.5000
O: 0.7585 0.5000 0.0000

Largest 6 diffraction maxima, low angle first, 2θ from 10° to 80°:
Position (°2θ)	I/Imax
10.25	203
23.04	195
31.08	179
41.86	1000
60.69	560
76.44	166



# 2
Starting from a cell relaxed with GGA-PBE, the XRD peak list of LiMgP2 was simulated for λ = 1.5418 Å (Cu Kα).

Unit cell a=4.2708 b=4.2708 c=5.1074 alpha=104.50 beta=104.50 gamma=45.37
Sites, in units of the cell vectors:
Li: 0.0000 0.0000 0.0000
Mg: 0.5000 0.5000 0.5000
P: 0.2513 0.2513 0.8205
P: 0.7487 0.7487 0.1795

Largest 6 diffraction maxima, low angle first, 2θ from 10° to 80°:
Position (°2θ)	I/Imax
23.46	241
25.47	397
36.55	1000
37.83	302
44.98	869
47.98	249



# 3
Starting from a cell relaxed with GGA-PBE, the XRD peak list of Rb2LiMgP2 was simulated for λ = 1.5418 Å (Cu Kα).

Unit cell a=9.0545 b=9.0545 c=9.0545 alpha=138.26 beta=60.52 gamma=138.25
Sites, in units of the cell vectors:
Rb: 0.1733 0.2340 0.4072
Rb: 0.3267 0.7340 0.0607
Rb: 0.6733 0.2660 0.9393
Rb: 0.8267 0.7660 0.5928
Li: 0.2500 0.2500 0.0000
Li: 0.7500 0.7500 0.0000
Mg: 0.2500 0.7500 0.5000
Mg: 0.7500 0.2500 0.5000
P: 0.0860 0.7432 0.8291
P: 0.4140 0.2432 0.6572
P: 0.5860 0.7568 0.3428
P: 0.9140 0.2568 0.1709

Largest 6 diffraction maxima, low angle first, 2θ from 10° to 80°:
Position (°2θ)	I/Imax
22.56	324
27.65	568
29.96	220
30.10	1000
39.50	351
50.45	429



# 4
Starting from a cell relaxed with GGA-PBE, the XRD peak list of LiMgPS4 was simulated for λ = 1.5418 Å (Cu Kα).

Unit cell a=7.1524 b=7.1524 c=7.1524 alpha=121.78 beta=117.20 gamma=90.93
Sites, in units of the cell vectors:
Li: 0.5000 0.0000 0.0000
Li: 0.5000 0.5000 0.5000
Mg: 0.0000 0.0000 0.0000
Mg: 0.5000 0.0000 0.5000
P: 0.1222 0.3722 0.7500
P: 0.8778 0.6278 0.2500
S: 0.2167 0.7358 0.4809
S: 0.2451 0.2642 0.9809
S: 0.2511 0.2570 0.5059
S: 0.2511 0.7453 0.9941
S: 0.7489 0.2547 0.0059
S: 0.7489 0.7430 0.4941
S: 0.7549 0.7358 0.0191
S: 0.7833 0.2642 0.5191

Largest 6 diffraction maxima, low angle first, 2θ from 10° to 80°:
Position (°2θ)	I/Imax
29.66	501
29.87	725
31.28	680
35.29	777
35.80	360
51.15	1000



# 5
Starting from a cell relaxed with GGA-PBE, the XRD peak list of Li4Mg2Pb was simulated for λ = 1.5418 Å (Cu Kα).

Unit cell a=10.2145 b=10.2145 c=10.2145 alpha=162.39 beta=153.48 gamma=32.02
Sites, in units of the cell vectors:
Li: 0.0670 0.0670 0.0000
Li: 0.3632 0.8632 0.5000
Li: 0.6368 0.1368 0.5000
Li: 0.9330 0.9330 0.0000
Mg: 0.2086 0.7086 0.5000
Mg: 0.7914 0.2914 0.5000
Pb: 0.5000 0.5000 0.0000

Largest 6 diffraction maxima, low angle first, 2θ from 10° to 80°:
Position (°2θ)	I/Imax
18.07	815
19.48	1000
23.35	985
28.90	452
35.70	857
37.36	430



# 6
Starting from a cell relaxed with GGA-PBE, the XRD peak list of Li7Mg2Pb was simulated for λ = 1.5418 Å (Cu Kα).

Unit cell a=4.8068 b=4.8068 c=10.0611 alpha=90.00 beta=90.00 gamma=120.00
Sites, in units of the cell vectors:
Li: 0.0000 0.0000 0.0000
Li: 0.0000 0.0000 0.2275
Li: 0.0000 0.0000 0.4707
Li: 0.3333 0.6667 0.2715
Li: 0.3333 0.6667 0.9745
Li: 0.6667 0.3333 0.4536
Li: 0.6667 0.3333 0.8229
Mg: 0.0000 0.0000 0.7324
Mg: 0.3333 0.6667 0.6085
Pb: 0.6667 0.3333 0.1349

Largest 6 diffraction maxima, low angle first, 2θ from 10° to 80°:
Position (°2θ)	I/Imax
17.63	337
21.34	384
23.12	1000
27.82	455
34.34	420
37.42	265



# 7
Starting from a cell relaxed with GGA-PBE, the XRD peak list of Li6MgPb was simulated for λ = 1.5418 Å (Cu Kα).

Unit cell a=4.8237 b=5.8667 c=5.8667 alpha=68.16 beta=90.00 gamma=90.00
Sites, in units of the cell vectors:
Li: 0.0000 0.0000 0.0000
Li: 0.0000 0.0487 0.5142
Li: 0.0000 0.5142 0.0487
Li: 0.5000 0.2813 0.8162
Li: 0.5000 0.3107 0.3107
Li: 0.5000 0.8162 0.2813
Mg: 0.0000 0.5476 0.5476
Pb: 0.5000 0.7890 0.7890

Largest 6 diffraction maxima, low angle first, 2θ from 10° to 80°:
Position (°2θ)	I/Imax
16.28	1000
18.26	301
24.66	751
26.03	402
36.08	322
37.95	428



# 8
Starting from a cell relaxed with GGA-PBE, the XRD peak list of Li8Mg5Pb was simulated for λ = 1.5418 Å (Cu Kα).

Unit cell a=7.3914 b=7.3914 c=7.3914 alpha=116.34 beta=116.34 gamma=96.46
Sites, in units of the cell vectors:
Li: 0.0673 0.4652 0.2243
Li: 0.0918 0.1827 0.7787
Li: 0.1570 0.9327 0.3980
Li: 0.2409 0.8430 0.7757
Li: 0.4040 0.3130 0.2213
Li: 0.5348 0.7591 0.6020
Li: 0.6870 0.9082 0.0910
Li: 0.8173 0.5960 0.9090
Mg: 0.3055 0.4041 0.6222
Mg: 0.3167 0.6945 0.0986
Mg: 0.5959 0.2181 0.9014
Mg: 0.7500 0.2500 0.5000
Mg: 0.7819 0.6833 0.3778
Pb: 0.0000 0.0000 0.0000

Largest 6 diffraction maxima, low angle first, 2θ from 10° to 80°:
Position (°2θ)	I/Imax
14.49	1000
16.08	480
18.02	307
24.24	567
27.13	928
37.64	423



# 9
Starting from a cell relaxed with GGA-PBE, the XRD peak list of Li2Mg3Pb was simulated for λ = 1.5418 Å (Cu Kα).

Unit cell a=7.0982 b=7.0982 c=9.6584 alpha=114.23 beta=114.23 gamma=36.86
Sites, in units of the cell vectors:
Li: 0.0368 0.0368 0.3808
Li: 0.2858 0.2858 0.6196
Li: 0.7142 0.7142 0.3804
Li: 0.9632 0.9632 0.6192
Mg: 0.1209 0.1209 0.1266
Mg: 0.2076 0.2076 0.8699
Mg: 0.4589 0.4589 0.1318
Mg: 0.5411 0.5411 0.8682
Mg: 0.7924 0.7924 0.1301
Mg: 0.8791 0.8791 0.8734
Pb: 0.3662 0.3662 0.3826
Pb: 0.6338 0.6338 0.6174

Largest 6 diffraction maxima, low angle first, 2θ from 10° to 80°:
Position (°2θ)	I/Imax
10.16	721
19.27	659
21.12	812
22.03	1000
34.55	710
35.42	625



# 10
Starting from a cell relaxed with GGA-PBE, the XRD peak list of LiMg2Pb9 was simulated for λ = 1.5418 Å (Cu Kα).

Unit cell a=4.8782 b=4.8782 c=14.6126 alpha=90.00 beta=90.00 gamma=90.00
Sites, in units of the cell vectors:
Li: 0.0000 0.0000 0.0000
Mg: 0.0000 0.0000 0.3308
Mg: 0.0000 0.0000 0.6692
Pb: 0.0000 0.5000 0.1645
Pb: 0.0000 0.5000 0.5000
Pb: 0.0000 0.5000 0.8355
Pb: 0.5000 0.0000 0.1645
Pb: 0.5000 0.0000 0.5000
Pb: 0.5000 0.0000 0.8355
Pb: 0.5000 0.5000 0.0000
Pb: 0.5000 0.5000 0.3332
Pb: 0.5000 0.5000 0.6668

Largest 6 diffraction maxima, low angle first, 2θ from 10° to 80°:
Position (°2θ)	I/Imax
18.19	241
25.84	215
31.79	1000
36.87	509
53.13	363
63.26	434



# 11
Starting from a cell relaxed with GGA-PBE, the XRD peak list of Li3Mg2Pb3 was simulated for λ = 1.5418 Å (Cu Kα).

Unit cell a=4.9653 b=5.1240 c=7.2368 alpha=90.00 beta=90.00 gamma=90.00
Sites, in units of the cell vectors:
Li: 0.0000 0.0000 0.0000
Li: 0.0000 0.5000 0.2417
Li: 0.0000 0.5000 0.7583
Mg: 0.5000 0.0000 0.2366
Mg: 0.5000 0.0000 0.7634
Pb: 0.0000 0.0000 0.5000
Pb: 0.5000 0.5000 0.0000
Pb: 0.5000 0.5000 0.5000

Largest 6 diffraction maxima, low angle first, 2θ from 10° to 80°:
Position (°2θ)	I/Imax
12.23	239
24.60	415
24.97	798
35.02	257
35.34	1000
57.07	277



# 12
Starting from a cell relaxed with GGA-PBE, the XRD peak list of LiMg3Pb was simulated for λ = 1.5418 Å (Cu Kα).

Unit cell a=5.9666 b=3.1624 c=13.3063 alpha=90.00 beta=90.00 gamma=90.00
Sites, in units of the cell vectors:
Li: 0.2500 0.0000 0.1928
Li: 0.7500 0.0000 0.8072
Mg: 0.0000 0.0000 0.0000
Mg: 0.0019 0.0000 0.3872
Mg: 0.4981 0.0000 0.3872
Mg: 0.5000 0.0000 0.0000
Mg: 0.5019 0.0000 0.6128
Mg: 0.9981 0.0000 0.6128
Pb: 0.2500 0.5000 0.8022
Pb: 0.7500 0.5000 0.1978

Largest 6 diffraction maxima, low angle first, 2θ from 10° to 80°:
Position (°2θ)	I/Imax
13.31	372
16.28	1000
20.00	391
30.76	277
32.75	428
34.83	370